# 1
This entry pairs a crystal structure of KMgZrTe3 with its computed PXRD pattern. Radiation: a wavelength of 1.5418 Å. Structure: the GGA-PBE geometry in OQMD.
Lines closer than 0.1° are merged.

Principal peaks in the range 2θ from 10° to 80°, by intensity:
27.7°, rel. 100, (1 3 1); 10.9°, rel. 91, (0 2 0); 38.2°, rel. 89, (1 5 2); 30.9°, rel. 86, (1 3 2); 26.0°, rel. 85, (0 2 3); 26.5°, rel. 77, (1 3 0); 31.6°, rel. 50, (0 0 4); 48.5°, rel. 49, (1 3 5); 42.0°, rel. 43, (2 0 0); 26.6°, rel. 41, (1 1 2)

Structure:
a b c (Å): 4.2992 16.2145 11.3196
angles (deg): 90.00 90.00 90.00
Space group Cmcm (No. 63)
Symmetry-distinct sites (fractional):
K1 0.0000 0.2471 0.2500 (multiplicity 4)
Mg1 0.0000 0.4664 0.7500 (multiplicity 4)
Zr1 0.0000 0.0000 0.0000 (multiplicity 4)
Te1 0.0000 0.0745 0.7500 (multiplicity 4)
Te2 0.0000 0.3745 0.5457 (multiplicity 8)

***

# 2
This entry pairs a crystal structure of K2MoSN4 with its computed PXRD pattern. Radiation: a wavelength of 1.5418 Å. Structure: the GGA-PBE geometry in OQMD.
Lines closer than 0.1° are merged.

Principal peaks in the range 2θ from 10° to 80°, by intensity:
32.1°, rel. 100, (1 1 2); 32.3°, rel. 41, (2 0 0); 19.5°, rel. 38, (1 0 1); 57.5°, rel. 32, (3 1 2); 57.2°, rel. 18, (2 0 4); 76.9°, rel. 15, (4 2 0); 46.3°, rel. 13, (2 2 0); 67.2°, rel. 11, (2 2 4); 38.0°, rel. 8, (1 2 1); 22.7°, rel. 8, (1 1 0)

Structure:
a b c (Å): 5.5424 5.5424 7.9193
angles (deg): 90.00 90.00 90.00
Space group I-4 (No. 82)
Symmetry-distinct sites (fractional):
K1 0.0000 0.0000 0.0000 (multiplicity 2)
K2 0.0000 0.5000 0.2500 (multiplicity 2)
Mo1 0.0000 0.0000 0.5000 (multiplicity 2)
S1 0.0000 0.5000 0.7500 (multiplicity 2)
N1 0.0937 0.2774 0.6363 (multiplicity 8)

***

# 3
This entry pairs a crystal structure of K2MoWN4 with its computed PXRD pattern. Radiation: a wavelength of 1.5418 Å. Structure: the GGA-PBE geometry in OQMD.
Lines closer than 0.1° are merged.

Principal peaks in the range 2θ from 10° to 80°, by intensity:
30.1°, rel. 100, (1 1 2); 18.5°, rel. 74, (1 0 1); 30.8°, rel. 41, (2 0 0); 54.4°, rel. 36, (1 3 2); 53.1°, rel. 21, (2 0 4); 36.2°, rel. 17, (1 2 1); 44.1°, rel. 16, (2 2 0); 47.3°, rel. 13, (2 1 3); 62.7°, rel. 12, (2 2 4); 35.0°, rel. 9, (1 0 3)

Structure:
a b c (Å): 5.8047 5.8047 8.5779
angles (deg): 90.00 90.00 90.00
Space group I-4 (No. 82)
Symmetry-distinct sites (fractional):
K1 0.0000 0.0000 0.0000 (multiplicity 2)
K2 0.0000 0.5000 0.2500 (multiplicity 2)
Mo1 0.0000 0.5000 0.7500 (multiplicity 2)
W1 0.0000 0.0000 0.5000 (multiplicity 2)
N1 0.1035 0.2493 0.6241 (multiplicity 8)

***

# 4
This entry pairs a crystal structure of K2Mo9S11 with its computed PXRD pattern. Radiation: a wavelength of 1.5418 Å. Structure: the GGA-PBE geometry in OQMD.
Lines closer than 0.1° are merged.

Principal peaks in the range 2θ from 10° to 80°, by intensity:
12.0°, rel. 100, (0 1 2); 44.9°, rel. 31, (2 2 9); 34.1°, rel. 15, (2 1 7); 41.5°, rel. 12, (1 0 16); 29.7°, rel. 11, (1 2 2); 14.7°, rel. 11, (1 0 4); 44.0°, rel. 10, (1 3 7); 52.4°, rel. 8, (3 2 7); 22.5°, rel. 8, (0 1 8); 36.5°, rel. 8, (0 1 14)

Structure:
a b c (Å): 9.3348 9.3348 36.1531
angles (deg): 90.00 90.00 120.00
Space group R-3c (No. 167, hexagonal axes)
Symmetry-distinct sites (fractional):
K1 0.0000 0.0000 0.0534 (multiplicity 12)
Mo1 0.0000 0.1681 0.2500 (multiplicity 18)
Mo2 0.0106 0.1699 0.8130 (multiplicity 36)
S1 0.0000 0.0000 0.1361 (multiplicity 12)
S2 0.0000 0.3059 0.7500 (multiplicity 18)
S3 0.0177 0.3741 0.8590 (multiplicity 36)

***

# 5
This entry pairs a crystal structure of K2Mo3Se18 with its computed PXRD pattern. Radiation: a wavelength of 1.5418 Å. Structure: the GGA-PBE geometry in OQMD.
Lines closer than 0.1° are merged.

Principal peaks in the range 2θ from 10° to 80°, by intensity:
11.9°, rel. 100, (1 1 -1); 11.4°, rel. 96, (0 1 1); 16.6°, rel. 73, (1 2 0); 11.6°, rel. 46, (1 1 0); 29.0°, rel. 44, (3 1 0); 27.7°, rel. 44, (0 0 3); 13.7°, rel. 39, (0 2 0); 33.9°, rel. 38, (2 1 -4); 25.8°, rel. 32, (1 1 -3); 36.0°, rel. 27, (2 2 -4)

Structure:
a b c (Å): 10.6441 12.8830 10.8256
angles (deg): 90.00 116.70 90.00
Space group P2_1 (No. 4)
Symmetry-distinct sites (fractional):
K1 0.0820 0.0000 0.0029 (multiplicity 2)
K2 0.2354 0.4722 0.6643 (multiplicity 2)
Mo1 0.2589 0.0532 0.6619 (multiplicity 2)
Mo2 0.4120 0.0461 0.5113 (multiplicity 2)
Mo3 0.4475 0.5645 0.2005 (multiplicity 2)
Se1 0.0345 0.9660 0.6702 (multiplicity 2)
Se2 0.0508 0.2368 0.8365 (multiplicity 2)
Se3 0.0628 0.1951 0.6258 (multiplicity 2)
Se4 0.0668 0.7795 0.7026 (multiplicity 2)
Se5 0.0924 0.7427 0.9316 (multiplicity 2)
Se6 0.1339 0.0662 0.3901 (multiplicity 2)
Se7 0.2215 0.5050 0.9716 (multiplicity 2)
Se8 0.2392 0.9027 0.4950 (multiplicity 2)
Se9 0.2632 0.3189 0.9879 (multiplicity 2)
Se10 0.3145 0.5752 0.3581 (multiplicity 2)
Se11 0.3329 0.7472 0.1063 (multiplicity 2)
Se12 0.3874 0.7281 0.6807 (multiplicity 2)
Se13 0.3950 0.0948 0.9272 (multiplicity 2)
Se14 0.3953 0.1539 0.2988 (multiplicity 2)
Se15 0.3986 0.2047 0.6380 (multiplicity 2)
Se16 0.4073 0.4143 0.3354 (multiplicity 2)
Se17 0.4089 0.9234 0.8506 (multiplicity 2)
Se18 0.4109 0.9721 0.2786 (multiplicity 2)

***

# 6
This entry pairs a crystal structure of K4SiMoSe6 with its computed PXRD pattern. Radiation: a wavelength of 1.5418 Å. Structure: the GGA-PBE geometry in OQMD.
Lines closer than 0.1° are merged.

Principal peaks in the range 2θ from 10° to 80°, by intensity:
26.8°, rel. 100, (0 2 1); 27.3°, rel. 89, (0 1 -2); 26.0°, rel. 61, (2 1 1); 32.3°, rel. 50, (0 1 3); 27.5°, rel. 44, (2 1 0); 13.3°, rel. 42, (0 1 0); 15.8°, rel. 40, (1 0 1); 44.2°, rel. 36, (0 3 -1); 38.5°, rel. 32, (-2 1 1); 16.0°, rel. 30, (1 1 0)

Structure:
a b c (Å): 6.8998 7.3767 8.9519
angles (deg): 73.06 72.07 67.03
Space group P1 (No. 1)
Symmetry-distinct sites (fractional):
K1 0.0000 0.0000 0.0000 (multiplicity 1)
K2 0.2188 0.3803 0.2432 (multiplicity 1)
K3 0.4712 0.7095 0.4313 (multiplicity 1)
K4 0.7750 0.6385 0.7922 (multiplicity 1)
Si1 0.7604 0.1207 0.4268 (multiplicity 1)
Mo1 0.4713 0.2423 0.8118 (multiplicity 1)
Se1 0.2747 0.5779 0.8383 (multiplicity 1)
Se2 0.4079 0.1467 0.5975 (multiplicity 1)
Se3 0.4872 0.9873 0.0411 (multiplicity 1)
Se4 0.7489 0.3648 0.2025 (multiplicity 1)
Se5 0.8262 0.2127 0.6413 (multiplicity 1)
Se6 0.9534 0.7991 0.3928 (multiplicity 1)

***

# 7
This entry pairs a crystal structure of K2Na3Ni3N3 with its computed PXRD pattern. Radiation: a wavelength of 1.5418 Å. Structure: the GGA-PBE geometry in OQMD.
Lines closer than 0.1° are merged.

Principal peaks in the range 2θ from 10° to 80°, by intensity:
20.9°, rel. 100, (1 1 0); 33.4°, rel. 99, (1 1 1); 36.6°, rel. 77, (3 0 0); 63.8°, rel. 29, (4 1 1); 42.5°, rel. 27, (2 2 0); 66.0°, rel. 22, (3 0 2); 41.6°, rel. 19, (2 1 1); 50.3°, rel. 17, (2 2 1); 24.2°, rel. 15, (2 0 0); 57.3°, rel. 15, (4 1 0)

Structure:
a b c (Å): 8.5097 8.5097 3.4631
angles (deg): 90.00 90.00 120.00
Space group P-62m (No. 189)
Symmetry-distinct sites (fractional):
K1 0.3333 0.6667 0.0000 (multiplicity 2)
Na1 0.0000 0.2273 0.0000 (multiplicity 3)
Ni1 0.0000 0.6776 0.5000 (multiplicity 3)
N1 0.0000 0.6745 0.0000 (multiplicity 3)

***

# 8
This entry pairs a crystal structure of K3Na2Pt3N3 with its computed PXRD pattern. Radiation: a wavelength of 1.5418 Å. Structure: the GGA-PBE geometry in OQMD.
Lines closer than 0.1° are merged.

Principal peaks in the range 2θ from 10° to 80°, by intensity:
20.9°, rel. 100, (1 1 0); 31.7°, rel. 97, (1 1 1); 32.2°, rel. 33, (2 1 0); 36.6°, rel. 31, (3 0 0); 50.8°, rel. 26, (3 1 1); 44.3°, rel. 24, (3 1 0); 34.0°, rel. 23, (2 0 1); 53.2°, rel. 17, (1 1 2); 12.0°, rel. 14, (1 0 0); 67.7°, rel. 14, (3 1 2)

Structure:
a b c (Å): 8.5040 8.5040 3.7676
angles (deg): 90.00 90.00 120.00
Space group P-62m (No. 189)
Symmetry-distinct sites (fractional):
K1 0.0000 0.2626 0.0000 (multiplicity 3)
Na1 0.3333 0.6667 0.0000 (multiplicity 2)
Pt1 0.0000 0.6132 0.5000 (multiplicity 3)
N1 0.0000 0.6114 0.0000 (multiplicity 3)

***

# 9
This entry pairs a crystal structure of K2NiWN4 with its computed PXRD pattern. Radiation: a wavelength of 1.5418 Å. Structure: the GGA-PBE geometry in OQMD.
Lines closer than 0.1° are merged.

Principal peaks in the range 2θ from 10° to 80°, by intensity:
31.1°, rel. 100, (1 1 2); 19.0°, rel. 78, (1 0 1); 31.5°, rel. 42, (2 0 0); 55.8°, rel. 36, (3 1 2); 55.2°, rel. 20, (2 0 4); 37.0°, rel. 19, (1 2 1); 45.1°, rel. 16, (2 2 0); 48.9°, rel. 14, (2 1 3); 22.1°, rel. 14, (1 1 0); 64.9°, rel. 12, (2 2 4)

Structure:
a b c (Å): 5.6885 5.6885 8.2132
angles (deg): 90.00 90.00 90.00
Space group I-4 (No. 82)
Symmetry-distinct sites (fractional):
K1 0.0000 0.0000 0.0000 (multiplicity 2)
K2 0.0000 0.5000 0.2500 (multiplicity 2)
Ni1 0.0000 0.5000 0.7500 (multiplicity 2)
W1 0.0000 0.0000 0.5000 (multiplicity 2)
N1 0.1032 0.2542 0.6259 (multiplicity 8)

***

Question: Which formula does entry 3 have?
Answer: K2MoWN4

***

Copy entry 2 word for word.
This entry pairs a crystal structure of K2MoSN4 with its computed PXRD pattern. Radiation: a wavelength of 1.5418 Å. Structure: the GGA-PBE geometry in OQMD.
Lines closer than 0.1° are merged.

Principal peaks in the range 2θ from 10° to 80°, by intensity:
32.1°, rel. 100, (1 1 2); 32.3°, rel. 41, (2 0 0); 19.5°, rel. 38, (1 0 1); 57.5°, rel. 32, (3 1 2); 57.2°, rel. 18, (2 0 4); 76.9°, rel. 15, (4 2 0); 46.3°, rel. 13, (2 2 0); 67.2°, rel. 11, (2 2 4); 38.0°, rel. 8, (1 2 1); 22.7°, rel. 8, (1 1 0)

Structure:
a b c (Å): 5.5424 5.5424 7.9193
angles (deg): 90.00 90.00 90.00
Space group I-4 (No. 82)
Symmetry-distinct sites (fractional):
K1 0.0000 0.0000 0.0000 (multiplicity 2)
K2 0.0000 0.5000 0.2500 (multiplicity 2)
Mo1 0.0000 0.0000 0.5000 (multiplicity 2)
S1 0.0000 0.5000 0.7500 (multiplicity 2)
N1 0.0937 0.2774 0.6363 (multiplicity 8)